[1]
Simulated X-ray powder pattern
Compound: TlCd4Hg3
Radiation: a wavelength of 1.5418 Å
Structure: a cell relaxed with GGA-PBE

Main lines, most intense first (15° ≤ 2θ ≤ 90°):
32.0°, d = 2.796 Å, rel. 100; 39.1°, d = 2.302 Å, rel. 56; 52.0°, d = 1.760 Å, rel. 26; 66.5°, d = 1.407 Å, rel. 22; 38.5°, d = 2.341 Å, rel. 19; 62.3°, d = 1.489 Å, rel. 15; 60.9°, d = 1.521 Å, rel. 13; 85.4°, d = 1.137 Å, rel. 13; 66.9°, d = 1.398 Å, rel. 11; 89.5°, d = 1.095 Å, rel. 11

Structural model:
```
TlCd4Hg3
1.0
1.7598 1.0160 18.7241
-1.7598 1.0160 18.7241
0.0000 -2.0321 18.7241
Tl Cd Hg
1 4 3
Cartesian
0.0000 0.0000 0.0000
0.0000 0.0000 7.0810
0.0000 0.0000 21.2750
0.0000 0.0000 34.8973
0.0000 0.0000 49.0913
0.0000 0.0000 13.9066
0.0000 0.0000 28.0861
0.0000 0.0000 42.2657
```


[2]
Simulated X-ray powder pattern
Compound: Na4HoEr3Se8
Radiation: a wavelength of 1.5418 Å
Structure: a cell relaxed with GGA-PBE

Main lines, most intense first (15° ≤ 2θ ≤ 90°):
30.3°, d = 2.950 Å, rel. 100; 42.8°, d = 2.115 Å, rel. 37; 44.0°, d = 2.058 Å, rel. 36; 25.3°, d = 3.515 Å, rel. 23; 54.3°, d = 1.688 Å, rel. 19; 72.4°, d = 1.305 Å, rel. 16; 39.2°, d = 2.296 Å, rel. 15; 70.6°, d = 1.334 Å, rel. 15; 46.0°, d = 1.975 Å, rel. 14; 80.0°, d = 1.199 Å, rel. 12

Structural model:
```
Na4HoEr3Se8
1.0
4.1169 2.3769 7.0045
-4.1169 2.3769 7.0045
0.0000 -4.7538 7.0045
Na Ho Er Se
4 1 3 8
Cartesian
0.0000 0.0000 0.0000
-2.0584 -1.1884 7.0045
-2.0584 1.1884 14.0090
0.0000 2.3769 7.0045
0.0000 0.0000 10.5068
-4.1169 0.0000 10.5068
-2.0584 1.1884 3.5023
2.0584 1.1884 3.5023
-2.0631 -1.1911 12.1035
0.0000 0.0000 5.0960
0.0000 -2.3822 8.9101
-2.0631 1.1911 8.9101
2.0631 -1.1911 12.1035
0.0000 2.3822 12.1035
0.0000 0.0000 15.9176
2.0631 1.1911 8.9101
```